No. 1
Starting from a cell relaxed with GGA-PBE, the X-ray diffraction stick pattern of CaC2S2O2F2 was simulated for CuKα.
No peak broadening, texture or thermal motion is included.

Largest 10 diffraction maxima, in order of rising 2θ, 2θ from 10° to 90°:
d = 8.204 Å, 2θ = 10.78°, intensity 17, (0 0 1)
d = 4.102 Å, 2θ = 21.66°, intensity 11, (0 0 2)
d = 3.581 Å, 2θ = 24.86°, intensity 16, (0 1 2)
d = 3.460 Å, 2θ = 25.75°, intensity 6, (1 1 0)
d = 3.111 Å, 2θ = 28.70°, intensity 100, (1 1 2)
d = 2.647 Å, 2θ = 33.87°, intensity 15, (0 1 3)
d = 2.618 Å, 2θ = 34.26°, intensity 10, (0 2 1)
d = 2.010 Å, 2θ = 45.10°, intensity 7, (0 2 -2)
d = 1.922 Å, 2θ = 47.28°, intensity 13, (2 1 1)
d = 1.611 Å, 2θ = 57.19°, intensity 8, (1 2 -3)

Structure:
```
data_CaC2S2O2F2
_space_group_name_H-M_alt 'P -1'
_space_group_IT_number 2
_space_group_name_Hall '-P 1'
_cell_length_a 3.845
_cell_length_b 5.596
_cell_length_c 8.591
_cell_angle_alpha 74.95
_cell_angle_beta 77.13
_cell_angle_gamma 70.35
loop_
_atom_site_label
_atom_site_fract_x
_atom_site_fract_y
_atom_site_fract_z
Ca1 0.000 0.000 0.000
C1 0.350 0.088 0.216
S1 0.176 0.364 0.284
O1 0.135 0.589 0.138
F1 0.384 0.886 0.353
```

---

No. 2
Starting from a cell relaxed with GGA-PBE, the X-ray diffraction stick pattern of CaTl6C2O6F2 was simulated for CuKα.
No peak broadening, texture or thermal motion is included.

Largest 10 diffraction maxima, in order of rising 2θ, 2θ from 10° to 90°:
d = 6.374 Å, 2θ = 13.89°, intensity 40, (0 1 -1)
d = 3.935 Å, 2θ = 22.59°, intensity 53, (1 0 1)
d = 3.757 Å, 2θ = 23.68°, intensity 57, (1 0 -2)
d = 3.234 Å, 2θ = 27.58°, intensity 58, (1 -2 1)
d = 3.187 Å, 2θ = 28.00°, intensity 60, (0 2 -2)
d = 3.029 Å, 2θ = 29.49°, intensity 100, (0 2 1)
d = 2.897 Å, 2θ = 30.86°, intensity 39, (2 -1 0)
d = 2.853 Å, 2θ = 31.35°, intensity 44, (2 1 -1)
d = 2.827 Å, 2θ = 31.65°, intensity 39, (2 0 -2)
d = 2.694 Å, 2θ = 33.26°, intensity 59, (1 0 2)

Structure:
```
data_CaTl6C2O6F2
_space_group_name_H-M_alt 'P 1'
_space_group_IT_number 1
_space_group_name_Hall 'P 1'
_cell_length_a 6.274
_cell_length_b 8.090
_cell_length_c 8.126
_cell_angle_alpha 105.93
_cell_angle_beta 109.00
_cell_angle_gamma 93.51
loop_
_atom_site_label
_atom_site_fract_x
_atom_site_fract_y
_atom_site_fract_z
Ca1 0.000 0.000 0.000
Tl1 0.089 0.221 0.567
Tl2 0.243 0.536 0.975
Tl3 0.308 0.729 0.505
Tl4 0.572 0.322 0.288
Tl5 0.663 0.867 0.289
Tl6 0.707 0.509 0.878
C1 0.458 0.108 0.876
C2 0.916 0.737 0.664
O1 0.127 0.770 0.779
O2 0.296 0.153 0.941
O3 0.417 0.068 0.701
O4 0.661 0.114 0.990
O5 0.753 0.763 0.732
O6 0.871 0.685 0.489
F1 0.192 0.185 0.282
F2 0.955 0.803 0.139
```

---

No. 3
Starting from a cell relaxed with GGA-PBE, the X-ray diffraction stick pattern of Ca2FeC2 was simulated for CuKα.
No peak broadening, texture or thermal motion is included.

Largest 10 diffraction maxima, in order of rising 2θ, 2θ from 10° to 90°:
d = 5.067 Å, 2θ = 17.50°, intensity 64, (1 1 0)
d = 5.027 Å, 2θ = 17.64°, intensity 33, (0 2 0)
d = 3.036 Å, 2θ = 29.42°, intensity 51, (1 2 1)
d = 2.910 Å, 2θ = 30.73°, intensity 100, (1 3 0)
d = 2.534 Å, 2θ = 35.43°, intensity 28, (2 2 0)
d = 2.454 Å, 2θ = 36.61°, intensity 59, (2 1 1)
d = 2.243 Å, 2θ = 40.20°, intensity 85, (1 1 2)
d = 1.904 Å, 2θ = 47.77°, intensity 38, (2 0 2)
d = 1.774 Å, 2θ = 51.52°, intensity 40, (0 4 2)
d = 1.400 Å, 2θ = 66.80°, intensity 37, (3 3 2)

Structure:
```
data_Ca2FeC2
_space_group_name_H-M_alt 'I b a m'
_space_group_IT_number 72
_space_group_name_Hall '-I 2 2c'
_cell_length_a 5.867
_cell_length_b 10.054
_cell_length_c 5.007
_cell_angle_alpha 90.00
_cell_angle_beta 90.00
_cell_angle_gamma 90.00
loop_
_atom_site_label
_atom_site_fract_x
_atom_site_fract_y
_atom_site_fract_z
Ca1 0.159 0.151 0.000
Fe1 0.000 0.500 0.250
C1 0.188 0.405 0.000
```

---

No. 4
Starting from a cell relaxed with GGA-PBE, the X-ray diffraction stick pattern of CaFe2C was simulated for CuKα.
No peak broadening, texture or thermal motion is included.

Largest 10 diffraction maxima, in order of rising 2θ, 2θ from 10° to 90°:
d = 4.763 Å, 2θ = 18.63°, intensity 40, (1 1 1)
d = 2.917 Å, 2θ = 30.65°, intensity 34, (2 2 0)
d = 2.487 Å, 2θ = 36.11°, intensity 100, (3 1 1)
d = 2.381 Å, 2θ = 37.78°, intensity 62, (2 2 2)
d = 2.062 Å, 2θ = 43.90°, intensity 9, (4 0 0)
d = 1.684 Å, 2θ = 54.49°, intensity 11, (4 2 2)
d = 1.588 Å, 2θ = 58.10°, intensity 31, (5 1 1)
d = 1.458 Å, 2θ = 63.82°, intensity 35, (4 4 0)
d = 1.258 Å, 2θ = 75.58°, intensity 10, (5 3 3)
d = 1.244 Å, 2θ = 76.61°, intensity 19, (6 2 2)

Structure:
Lattice parameters (Å, degrees): 8.250 8.250 8.250 90.00 90.00 90.00
Space group Fd-3m (No. 227, origin choice 2)
One atom of each set of equivalent atoms:
Ca 0.125 0.125 0.125 [8 per cell]
Fe 0.000 0.000 0.500 [16 per cell]
C 0.125 0.125 0.625 [8 per cell]